This entry pairs a crystal structure of Pr2AsN4 with its theoretical powder diffraction line list. Radiation: Cu Kα. Structure: a crystal structure in Alexandria, relaxed with PBE.
Kinematic intensities with the Lorentz-polarization factor, no thermal factor.

The 8 most intense peaks (10° ≤ 2θ ≤ 80°), sorted by position:
| (hkl) | Position (°2θ) | intensity |
| --- | --- | --- |
| 1 1 2 | 26.57 | 33 |
| 1 0 3 | 28.94 | 16 |
| 2 1 0 | 29.33 | 20 |
| 2 0 2 | 30.24 | 20 |
| 0 1 3 | 30.65 | 100 |
| 0 2 0 | 31.80 | 45 |
| 2 2 2 | 44.46 | 17 |
| 0 3 3 | 55.94 | 19 |

Structural model:
abc: 7.241 5.627 10.230
angles: 90.00 90.00 90.00
Space group Pnma (No. 62)
Symmetry-distinct sites (fractional):
1 Pr 0.002 0.250 0.194 (multiplicity 4)
2 Pr 0.142 0.750 0.436 (multiplicity 4)
3 As 0.212 0.750 0.074 (multiplicity 4)
4 N 0.034 0.250 0.930 (multiplicity 4)
5 N 0.182 0.250 0.412 (multiplicity 4)
6 N 0.186 0.508 0.650 (multiplicity 8)


This entry pairs a crystal structure of Pr3AsN5 with its theoretical powder diffraction line list. Radiation: Cu Kα. Structure: a crystal structure in Alexandria, relaxed with PBE.
Kinematic intensities with the Lorentz-polarization factor, no thermal factor.

The 8 most intense peaks (10° ≤ 2θ ≤ 80°), sorted by position:
| (hkl) | Position (°2θ) | intensity |
| --- | --- | --- |
| 2 1 1 | 30.27 | 45 |
| 2 0 2 | 30.49 | 100 |
| 0 0 4 | 31.37 | 37 |
| 2 2 0 | 37.21 | 24 |
| 2 1 3 | 37.76 | 46 |
| 3 1 0 | 41.79 | 16 |
| 2 2 4 | 49.44 | 21 |
| 2 0 6 | 55.30 | 20 |

Structural model:
abc: 6.835 6.835 11.406
angles: 90.00 90.00 90.00
Space group I4/mcm (No. 140)
Symmetry-distinct sites (fractional):
1 Pr 0.000 0.000 0.250 (multiplicity 4)
2 Pr 0.177 0.323 0.000 (multiplicity 8)
3 As 0.000 0.500 0.250 (multiplicity 4)
4 N 0.000 0.000 0.000 (multiplicity 4)
5 N 0.144 0.356 0.352 (multiplicity 16)


This entry pairs a crystal structure of PrAsN3 with its theoretical powder diffraction line list. Radiation: Cu Kα. Structure: a crystal structure in Alexandria, relaxed with PBE.
Kinematic intensities with the Lorentz-polarization factor, no thermal factor.

The 8 most intense peaks (10° ≤ 2θ ≤ 80°), sorted by position:
| (hkl) | Position (°2θ) | intensity |
| --- | --- | --- |
| 2 0 0 | 16.72 | 19 |
| 2 2 -1 | 27.04 | 100 |
| 2 2 1 | 30.79 | 82 |
| 0 0 2 | 32.47 | 41 |
| 4 0 0 | 33.81 | 20 |
| 0 4 0 | 34.44 | 13 |
| 0 4 2 | 48.06 | 15 |
| 4 0 2 | 52.40 | 25 |

Structural model:
abc: 10.813 10.416 5.623
angles: 90.00 101.29 90.00
Space group C2/c (No. 15)
Symmetry-distinct sites (fractional):
1 Pr 0.000 0.101 0.250 (multiplicity 4)
2 Pr 0.000 0.337 0.750 (multiplicity 4)
3 As 0.216 0.413 0.267 (multiplicity 8)
4 N 0.117 0.107 0.673 (multiplicity 8)
5 N 0.126 0.272 0.157 (multiplicity 8)
6 N 0.147 0.467 0.527 (multiplicity 8)


This entry pairs a crystal structure of Sm2PuAsN5 with its theoretical powder diffraction line list. Radiation: Cu Kα. Structure: a crystal structure in Alexandria, relaxed with PBE.
Kinematic intensities with the Lorentz-polarization factor, no thermal factor.

The 8 most intense peaks (10° ≤ 2θ ≤ 80°), sorted by position:
| (hkl) | Position (°2θ) | intensity |
| --- | --- | --- |
| 0 2 2 | 21.34 | 24 |
| 0 2 3 | 28.95 | 69 |
| 0 4 2 | 30.56 | 29 |
| 1 3 0 | 31.80 | 53 |
| 1 3 1 | 33.00 | 47 |
| 1 1 3 | 37.31 | 100 |
| 0 6 1 | 38.94 | 39 |
| 1 5 2 | 44.68 | 37 |

Structural model:
abc: 3.494 14.244 10.263
angles: 90.00 90.00 90.00
Space group Cmc2_1 (No. 36)
Symmetry-distinct sites (fractional):
1 Sm 0.000 0.110 0.000 (multiplicity 4)
2 Sm 0.000 0.133 0.640 (multiplicity 4)
3 Pu 0.000 0.203 0.344 (multiplicity 4)
4 As 0.000 0.457 0.759 (multiplicity 4)
5 N 0.000 0.036 0.345 (multiplicity 4)
6 N 0.000 0.287 0.982 (multiplicity 4)
7 N 0.000 0.327 0.696 (multiplicity 4)
8 N 0.000 0.349 0.325 (multiplicity 4)
9 N 0.000 0.491 0.098 (multiplicity 4)


This entry pairs a crystal structure of PuTh2As2N2 with its theoretical powder diffraction line list. Radiation: Cu Kα. Structure: a crystal structure in Alexandria, relaxed with PBE.
Kinematic intensities with the Lorentz-polarization factor, no thermal factor.

The 8 most intense peaks (10° ≤ 2θ ≤ 80°), sorted by position:
| (hkl) | Position (°2θ) | intensity |
| --- | --- | --- |
| 1 1 0 | 23.73 | 21 |
| 2 0 -2 | 25.14 | 28 |
| 4 0 -1 | 29.41 | 68 |
| 1 1 1 | 30.29 | 100 |
| 3 1 -2 | 35.29 | 63 |
| 0 2 0 | 45.12 | 22 |
| 5 1 0 | 49.21 | 26 |
| 4 2 -1 | 54.78 | 25 |

Structural model:
abc: 12.219 4.019 7.101
angles: 90.00 121.40 90.00
Space group C2/m (No. 12)
Symmetry-distinct sites (fractional):
1 Pu 0.000 0.000 0.000 (multiplicity 2)
2 Th 0.192 0.000 0.740 (multiplicity 4)
3 As 0.062 0.500 0.331 (multiplicity 4)
4 N 0.200 0.000 0.085 (multiplicity 4)


This entry pairs a crystal structure of PuU2As2N2 with its theoretical powder diffraction line list. Radiation: Cu Kα. Structure: a crystal structure in Alexandria, relaxed with PBE.
Kinematic intensities with the Lorentz-polarization factor, no thermal factor.

The 8 most intense peaks (10° ≤ 2θ ≤ 80°), sorted by position:
| (hkl) | Position (°2θ) | intensity |
| --- | --- | --- |
| 1 1 0 | 24.80 | 23 |
| 2 0 -2 | 25.88 | 26 |
| 4 0 -1 | 30.19 | 65 |
| 1 1 1 | 31.53 | 100 |
| 3 1 -2 | 36.57 | 67 |
| 0 2 0 | 47.36 | 21 |
| 5 1 0 | 50.93 | 26 |
| 4 2 -1 | 57.20 | 22 |

Structural model:
abc: 11.912 3.839 6.899
angles: 90.00 121.67 90.00
Space group C2/m (No. 12)
Symmetry-distinct sites (fractional):
1 Pu 0.000 0.000 0.000 (multiplicity 2)
2 U 0.187 0.000 0.743 (multiplicity 4)
3 As 0.069 0.500 0.350 (multiplicity 4)
4 N 0.215 0.000 0.095 (multiplicity 4)